Computed XRD peak list of Sc3Cd2Ni2 for Cu Kα, 1.54184 Å, from the GGA-PBE geometry in Alexandria.
Peak positions follow from Bragg's law for the DFT cell and can differ from measured ones.

Main lines, by angle (2θ = 10–90°):
2θ (°)	intensity
24.38	28
26.27	30
32.09	28
36.14	100
36.75	76
38.41	62
47.13	34
62.92	29

Atomic structure:
abc: 3.7068 21.1726 3.3926
angles: 90.00 90.00 90.00
Space group Cmmm (No. 65)
Asymmetric unit:
Sc 0.0000 0.0000 0.0000 (multiplicity 2)
Sc 0.0000 0.1757 0.0000 (multiplicity 4)
Cd 0.0000 0.4152 0.5000 (multiplicity 4)
Ni 0.0000 0.2845 0.5000 (multiplicity 4)